(1)
Calculated X-ray diffraction stick pattern
Compound: TmCuSi
Radiation: copper Kα
Structure: a cell relaxed with PBE
Peak positions follow from Bragg's law for the DFT cell and can differ from measured ones.

Structure:
abc: 4.1246 4.1246 3.6115
angles: 90.00 90.00 120.00
Space group P-6m2 (No. 187)
Asymmetric unit:
Tm: 0.0000 0.0000 0.0000 [1 per cell]
Cu: 0.3333 0.6667 0.5000 [1 per cell]
Si: 0.6667 0.3333 0.5000 [1 per cell]

Largest 8 diffraction maxima, in order of falling intensity, 2θ = 15–90°:
(1 0 1), 35.34 deg, intensity 100
(1 1 0), 43.90 deg, intensity 40
(1 0 0), 24.93 deg, intensity 38
(2 0 1), 57.57 deg, intensity 24
(2 1 1), 75.12 deg, intensity 22
(1 1 2), 69.15 deg, intensity 20
(0 0 2), 50.55 deg, intensity 9
(1 0 2), 57.16 deg, intensity 8

(2)
Calculated X-ray diffraction stick pattern
Compound: MgCuTeO4
Radiation: copper Kα
Structure: a cell relaxed with PBE
Peak positions follow from Bragg's law for the DFT cell and can differ from measured ones.

Structure:
abc: 3.1336 5.6650 5.9398
angles: 70.79 89.89 89.87
Space group P1 (No. 1)
Asymmetric unit:
Mg: 0.0000 0.0000 0.0000 [1 per cell]
Cu: 0.5779 0.0042 0.4996 [1 per cell]
Te: 0.1633 0.5001 0.9982 [1 per cell]
O: 0.0812 0.1436 0.2836 [1 per cell]
O: 0.0806 0.8639 0.7134 [1 per cell]
O: 0.5035 0.7160 0.1310 [1 per cell]
O: 0.5065 0.2809 0.8688 [1 per cell]

Largest 8 diffraction maxima, in order of falling intensity, 2θ = 15–90°:
(0 1 1), 18.78 deg, intensity 100
(1 0 1), 32.74 deg, intensity 52
(0 0 1), 15.80 deg, intensity 46
(0 1 -1), 26.54 deg, intensity 42
(1 1 0), 33.13 deg, intensity 33
(1 1 2), 42.40 deg, intensity 30
(0 0 2), 31.91 deg, intensity 29
(0 2 2), 38.09 deg, intensity 27